Structure and calculated powder XRD pattern of Li7Mn4CoO12 (a DFT-relaxed cell (PBE+U, Alexandria); CuKα).
Intensities are scaled so that the largest is 100.

Structural model:
Cell lengths 2.971, 6.462, 12.039 Å; angles 102.78, 93.61, 102.97 degrees
Space group P1 (No. 1)
Unique sites:
Li 0.000 0.000 0.000 (multiplicity 1)
Li 0.002 0.976 0.491 (multiplicity 1)
Li 0.280 0.623 0.831 (multiplicity 1)
Li 0.312 0.648 0.336 (multiplicity 1)
Li 0.588 0.307 0.677 (multiplicity 1)
Li 0.644 0.312 0.916 (multiplicity 1)
Li 0.696 0.309 0.155 (multiplicity 1)
Mn 0.276 0.638 0.586 (multiplicity 1)
Mn 0.347 0.638 0.076 (multiplicity 1)
Mn 0.650 0.307 0.412 (multiplicity 1)
Mn 0.944 0.985 0.757 (multiplicity 1)
Co 0.024 0.980 0.243 (multiplicity 1)
O 0.101 0.283 0.787 (multiplicity 1)
O 0.112 0.316 0.535 (multiplicity 1)
O 0.183 0.297 0.291 (multiplicity 1)
O 0.187 0.340 0.045 (multiplicity 1)
O 0.408 0.961 0.641 (multiplicity 1)
O 0.462 0.973 0.860 (multiplicity 1)
O 0.475 0.983 0.365 (multiplicity 1)
O 0.542 0.968 0.128 (multiplicity 1)
O 0.749 0.653 0.707 (multiplicity 1)
O 0.826 0.634 0.459 (multiplicity 1)
O 0.829 0.652 0.973 (multiplicity 1)
O 0.883 0.663 0.192 (multiplicity 1)

Principal peaks in the range 2θ = 10–90°, low angle first:
hkl	2θ (°)	Rel. int.
0 1 -2	18.32	100
-1 1 2	34.60	14
0 2 2	36.40	24
1 0 -4	41.42	31
1 -1 4	44.26	28
0 3 0	44.49	27
1 -4 4	64.23	9
1 2 4	64.90	9